Record 1
Starting from a structure optimized by DFT (PBE), the powder diffractogram of Th3Ga8Pt3 was simulated for CuKα.

Cell and atoms:
```
data_Th3Ga8Pt3
_chemical_formula_sum 'Th6 Ga16 Pt6'
_cell_length_a 16.024
_cell_length_b 4.543
_cell_length_c 9.074
_cell_angle_alpha 90.00
_cell_angle_beta 124.39
_cell_angle_gamma 90.00
_symmetry_space_group_name_H-M 'C 1 2/m 1'
_symmetry_Int_Tables_number 12
loop_
_symmetry_equiv_pos_as_xyz
'x,y,z'
'-x,-y,-z'
'-x,y,-z'
'x,-y,z'
'x+1/2,y+1/2,z'
'-x+1/2,-y+1/2,-z'
'-x+1/2,y+1/2,-z'
'x+1/2,-y+1/2,z'
loop_
_atom_site_label
_atom_site_fract_x
_atom_site_fract_y
_atom_site_fract_z
Th1 0.000 0.000 0.000
Th2 0.211 0.500 0.714
Ga1 0.001 0.500 0.677
Ga2 0.140 0.000 0.428
Ga3 0.150 0.000 0.864
Ga4 0.156 0.500 0.294
Pt1 0.000 0.000 0.500
Pt2 0.147 0.500 0.006
```

Largest 8 diffraction maxima, by angle, 10 to 90 degrees two-theta:
- d 3.164, intensity 593, hkl 3 1 0
- d 2.671, intensity 469, hkl 6 0 -2
- d 2.595, intensity 1000, hkl 5 1 -2
- d 2.564, intensity 489, hkl 3 1 1
- d 2.518, intensity 492, hkl 3 1 -3
- d 2.353, intensity 413, hkl 1 1 -3
- d 2.271, intensity 683, hkl 0 2 0
- d 2.006, intensity 324, hkl 3 1 -4

Record 2
Starting from a structure optimized by DFT (PBE), the powder diffractogram of BaAgO3 was simulated for CuKα.

Cell and atoms:
```
data_BaAgO3
_chemical_formula_sum 'Ba2 Ag2 O6'
_cell_length_a 4.035
_cell_length_b 6.440
_cell_length_c 6.990
_cell_angle_alpha 108.04
_cell_angle_beta 98.10
_cell_angle_gamma 95.84
_symmetry_space_group_name_H-M 'P 1'
_symmetry_Int_Tables_number 1
loop_
_symmetry_equiv_pos_as_xyz
'x,y,z'
loop_
_atom_site_label
_atom_site_fract_x
_atom_site_fract_y
_atom_site_fract_z
Ba1 0.000 0.000 0.000
Ba2 0.236 0.641 0.430
Ag1 0.511 0.413 0.949
Ag2 0.645 0.196 0.497
O1 0.106 0.593 0.772
O2 0.504 0.082 0.744
O3 0.510 0.762 0.126
O4 0.624 0.309 0.235
O5 0.750 0.547 0.686
O6 0.750 0.870 0.319
```

Largest 8 diffraction maxima, by angle, 10 to 90 degrees two-theta:
- d 3.267, intensity 413, hkl 0 0 2
- d 3.171, intensity 1000, hkl 1 -1 1
- d 3.094, intensity 810, hkl 1 1 0
- d 2.706, intensity 443, hkl 1 1 -2
- d 2.455, intensity 259, hkl 0 2 1
- d 2.132, intensity 295, hkl 0 2 -3
- d 1.884, intensity 150, hkl 1 -1 3
- d 1.801, intensity 178, hkl 2 0 1

Record 3
Starting from a structure optimized by DFT (PBE), the powder diffractogram of Ho2Ti3Si4 was simulated for CuKα.

Cell and atoms:
```
data_Ho2Ti3Si4
_chemical_formula_sum 'Ho8 Ti12 Si16'
_cell_length_a 7.033
_cell_length_b 7.033
_cell_length_c 12.929
_cell_angle_alpha 90.00
_cell_angle_beta 90.00
_cell_angle_gamma 90.00
_symmetry_space_group_name_H-M 'P 41 21 2'
_symmetry_Int_Tables_number 92
loop_
_symmetry_equiv_pos_as_xyz
'x,y,z'
'-y+1/2,x+1/2,z+1/4'
'-x,-y,z+1/2'
'y+1/2,-x+1/2,z+3/4'
'x+1/2,-y+1/2,-z+3/4'
'-y,-x,-z+1/2'
'-x+1/2,y+1/2,-z+1/4'
'y,x,-z'
loop_
_atom_site_label
_atom_site_fract_x
_atom_site_fract_y
_atom_site_fract_z
Ho1 0.003 0.340 0.033
Ti1 0.007 0.152 0.623
Ti2 0.173 0.827 0.750
Si1 0.046 0.708 0.935
Si2 0.131 0.203 0.816
```

Largest 8 diffraction maxima, by angle, 10 to 90 degrees two-theta:
- d 4.641, intensity 417, hkl 1 1 1
- d 2.937, intensity 321, hkl 1 0 4
- d 2.828, intensity 424, hkl 2 1 2
- d 2.541, intensity 1000, hkl 2 1 3
- d 2.442, intensity 671, hkl 2 2 1
- d 2.294, intensity 637, hkl 1 1 5
- d 2.204, intensity 861, hkl 3 0 2
- d 1.548, intensity 314, hkl 3 1 6